1.
The following is a calculated X-ray diffraction stick pattern of ZnAgPb. It was derived from the GGA-PBE geometry in Alexandria, using Cu Kα X-rays.
Kinematic intensities with the Lorentz-polarization factor, no thermal factor.

```
data_ZnAgPb
_space_group_name_H-M_alt 'I m m 2'
_space_group_IT_number 44
_space_group_name_Hall 'I 2 -2'
_cell_length_a 3.432
_cell_length_b 3.451
_cell_length_c 11.036
_cell_angle_alpha 90.00
_cell_angle_beta 90.00
_cell_angle_gamma 90.00
loop_
_atom_site_label
_atom_site_type_symbol
_atom_site_fract_x
_atom_site_fract_y
_atom_site_fract_z
_atom_site_occupancy
Zn1 Zn 0.000 0.000 0.000 1
Ag1 Ag 0.000 0.000 0.386 1
Pb1 Pb 0.000 0.000 0.691 1
```

Top 10 peaks for 2θ from 15° to 90°, low angle first:
27.07°, rel. 31
27.21°, rel. 31
32.45°, rel. 26
35.67°, rel. 98
35.78°, rel. 97
36.94°, rel. 100
49.98°, rel. 31
63.39°, rel. 25
65.67°, rel. 33
65.88°, rel. 32



2.
The following is a calculated X-ray diffraction stick pattern of Ag2Pd5. It was derived from the GGA-PBE geometry in Alexandria, using Cu Kα X-rays.
Kinematic intensities with the Lorentz-polarization factor, no thermal factor.

```
data_Ag2Pd5
_space_group_name_H-M_alt 'R -3 m'
_space_group_IT_number 166
_space_group_name_Hall '-R 3 2"'
_cell_length_a 4.5000
_cell_length_b 4.5000
_cell_length_c 19.3730
_cell_angle_alpha 90.00
_cell_angle_beta 90.00
_cell_angle_gamma 120.00
loop_
_atom_site_label
_atom_site_type_symbol
_atom_site_fract_x
_atom_site_fract_y
_atom_site_fract_z
_atom_site_occupancy
Ag1 Ag 0.0000 0.0000 0.1425 1
Pd1 Pd 0.0000 0.0000 0.0000 1
Pd2 Pd 0.0000 0.0000 0.2871 1
Pd3 Pd 0.0000 0.0000 0.4271 1
```

Top 7 peaks for 2θ from 15° to 90°, low angle first:
39.95°, rel. 100
40.07°, rel. 99
57.88°, rel. 33
72.48°, rel. 16
72.75°, rel. 49
86.20°, rel. 10
86.51°, rel. 10



3.
The following is a calculated X-ray diffraction stick pattern of Ag5Pd. It was derived from the GGA-PBE geometry in Alexandria, using Cu Kα X-rays.
Kinematic intensities with the Lorentz-polarization factor, no thermal factor.

```
data_Ag5Pd
_space_group_name_H-M_alt 'I m m m'
_space_group_IT_number 71
_space_group_name_Hall '-I 2 2'
_cell_length_a 4.701
_cell_length_b 5.599
_cell_length_c 8.104
_cell_angle_alpha 90.00
_cell_angle_beta 90.00
_cell_angle_gamma 90.00
loop_
_atom_site_label
_atom_site_type_symbol
_atom_site_fract_x
_atom_site_fract_y
_atom_site_fract_z
_atom_site_occupancy
Ag1 Ag 0.000 0.000 0.000 1
Ag2 Ag 0.000 0.248 0.333 1
Pd1 Pd 0.000 0.500 0.000 1
```

Top 10 peaks for 2θ from 15° to 90°, low angle first:
38.29°, rel. 40
38.43°, rel. 79
39.08°, rel. 100
55.89°, rel. 23
56.03°, rel. 11
69.32°, rel. 13
69.74°, rel. 11
69.95°, rel. 22
79.79°, rel. 26
82.34°, rel. 8